No. 1
For NaMg14CO16, a PBE-relaxed structure gives the theoretical powder X-ray diffraction pattern in this record (CuKα).
Neutral-atom scattering factors, no anomalous dispersion.

Cell: 4.2787 8.3965 8.5814 Å, 90.00 90.00 90.00°
Space group Pmmm (No. 47)
Asymmetric unit:
Na: 0.0000 0.0000 0.0000 [1 per cell]
Mg: 0.0000 0.0000 0.5000 [1 per cell]
Mg: 0.0000 0.2501 0.2520 [4 per cell]
Mg: 0.0000 0.5000 0.5000 [1 per cell]
Mg: 0.5000 0.0000 0.2469 [2 per cell]
Mg: 0.5000 0.2493 0.5000 [2 per cell]
Mg: 0.5000 0.2513 0.0000 [2 per cell]
Mg: 0.5000 0.5000 0.2452 [2 per cell]
C: 0.0000 0.5000 0.0000 [1 per cell]
O: 0.0000 0.0000 0.2611 [2 per cell]
O: 0.0000 0.2548 0.5000 [2 per cell]
O: 0.0000 0.2929 0.0000 [2 per cell]
O: 0.0000 0.5000 0.2454 [2 per cell]
O: 0.5000 0.0000 0.0000 [1 per cell]
O: 0.5000 0.0000 0.5000 [1 per cell]
O: 0.5000 0.2515 0.2473 [4 per cell]
O: 0.5000 0.5000 0.0000 [1 per cell]
O: 0.5000 0.5000 0.5000 [1 per cell]

The 6 most intense peaks (10 to 90 degrees two-theta), by angle:
(hkl)	d [Å]	Position (°2θ)	I/Imax
0 0 4	2.145	42.12	98.1
2 0 0	2.139	42.24	97.8
0 4 0	2.099	43.09	87.0
2 0 4	1.515	61.18	54.5
2 4 0	1.499	61.88	100.0
2 4 4	1.228	77.74	45.4


No. 2
For Al2CdS4, a PBE-relaxed structure gives the theoretical powder X-ray diffraction pattern in this record (CuKα).
Neutral-atom scattering factors, no anomalous dispersion.

Cell: 10.3747 10.3747 10.3747 Å, 90.00 90.00 90.00°
Space group Fd-3m (No. 227, origin choice 2)
Asymmetric unit:
Al: 0.0000 0.0000 0.0000 [16 per cell]
Cd: 0.1250 0.1250 0.6250 [8 per cell]
S: 0.0147 0.0147 0.2353 [32 per cell]

The 6 most intense peaks (10 to 90 degrees two-theta), by angle:
(hkl)	d [Å]	Position (°2θ)	I/Imax
2 2 0	3.668	24.27	100.0
3 1 1	3.128	28.54	96.7
3 3 1	2.380	37.80	29.5
4 2 2	2.118	42.70	37.5
5 1 1	1.997	45.43	57.6
4 4 0	1.834	49.71	74.4


No. 3
For TmGeRu, a PBE-relaxed structure gives the theoretical powder X-ray diffraction pattern in this record (CuKα).
Neutral-atom scattering factors, no anomalous dispersion.

Cell: 6.9603 4.3799 7.2501 Å, 90.00 90.00 90.00°
Space group Pnma (No. 62)
Asymmetric unit:
Tm: 0.0105 0.2500 0.1924 [4 per cell]
Ge: 0.2055 0.2500 0.6075 [4 per cell]
Ru: 0.1566 0.7500 0.4378 [4 per cell]

The 6 most intense peaks (10 to 90 degrees two-theta), by angle:
(hkl)	d [Å]	Position (°2θ)	I/Imax
1 1 2	2.592	34.61	69.2
2 1 1	2.551	35.19	100.0
2 0 2	2.511	35.77	30.0
3 0 1	2.210	40.84	28.5
0 2 0	2.190	41.22	43.5
0 1 3	2.116	42.73	38.0


No. 4
For PrNi5, a PBE-relaxed structure gives the theoretical powder X-ray diffraction pattern in this record (CuKα).
Neutral-atom scattering factors, no anomalous dispersion.

Cell: 4.9707 4.9707 3.9611 Å, 90.00 90.00 120.00°
Space group P6/mmm (No. 191)
Asymmetric unit:
Pr: 0.0000 0.0000 0.0000 [1 per cell]
Ni: 0.0000 0.5000 0.5000 [3 per cell]
Ni: 0.3333 0.6667 0.0000 [2 per cell]

The 6 most intense peaks (10 to 90 degrees two-theta), by angle:
(hkl)	d [Å]	Position (°2θ)	I/Imax
1 0 1	2.915	30.67	44.8
1 1 0	2.485	36.14	30.8
2 0 0	2.152	41.98	34.9
1 1 1	2.105	42.96	100.0
0 0 2	1.981	45.81	26.4
3 0 1	1.349	69.70	22.2